(1)
Structure and computed powder X-ray diffraction pattern of CsTb2Cl7 (a crystal structure in the Materials Project, relaxed with PBE; Cu Kα X-rays).
Intensities are scaled so that the largest is 100.

Main lines, by angle (10° ≤ 2θ ≤ 90°):
| 2theta | I/Imax | h k l |
| --- | --- | --- |
| 12.67 | 55 | 2 0 0 |
| 19.18 | 100 | 2 1 1 |
| 25.24 | 60 | 1 1 3 |
| 34.04 | 28 | 3 0 4 |
| 36.17 | 32 | 4 2 0 |
| 40.68 | 28 | 5 1 3 |

Structure:
```
data_CsTb2Cl7
_chemical_formula_sum 'Cs4 Tb8 Cl28'
_symmetry_space_group_name_H-M 'P n m a'
_symmetry_Int_Tables_number 62
_symmetry_space_group_name_Hall '-P 2ac 2n'
_cell_length_a 13.9698
_cell_length_b 7.0624
_cell_length_c 12.7727
_cell_angle_alpha 90.00
_cell_angle_beta 90.00
_cell_angle_gamma 90.00
loop_
_atom_site_label
_atom_site_type_symbol
_atom_site_fract_x
_atom_site_fract_y
_atom_site_fract_z
Cs1 Cs 0.0412 0.2500 0.1963
Tb1 Tb 0.2374 0.2500 0.5404
Tb2 Tb 0.2499 0.2500 0.8438
Cl1 Cl 0.1146 0.7500 0.1889
Cl2 Cl 0.1268 0.0087 0.4250
Cl3 Cl 0.1377 0.0091 0.9597
Cl4 Cl 0.1779 0.0130 0.6939
```

=====

(2)
Structure and computed powder X-ray diffraction pattern of Cs2TcCl6 (a crystal structure in the Materials Project, relaxed with PBE; Cu Kα X-rays).
Intensities are scaled so that the largest is 100.

Main lines, by angle (10° ≤ 2θ ≤ 90°):
| 2theta | I/Imax | h k l |
| --- | --- | --- |
| 14.51 | 47 | 1 1 1 |
| 23.81 | 100 | 2 2 0 |
| 29.27 | 63 | 2 2 2 |
| 33.92 | 74 | 4 0 0 |
| 41.87 | 42 | 4 2 2 |
| 48.73 | 47 | 4 4 0 |

Structure:
```
data_Cs2TcCl6
_chemical_formula_sum 'Cs8 Tc4 Cl24'
_symmetry_space_group_name_H-M 'F m -3 m'
_symmetry_Int_Tables_number 225
_symmetry_space_group_name_Hall '-F 4 2 3'
_cell_length_a 10.5702
_cell_length_b 10.5702
_cell_length_c 10.5702
_cell_angle_alpha 90.00
_cell_angle_beta 90.00
_cell_angle_gamma 90.00
loop_
_atom_site_label
_atom_site_type_symbol
_atom_site_fract_x
_atom_site_fract_y
_atom_site_fract_z
Cs1 Cs 0.2500 0.2500 0.2500
Tc1 Tc 0.0000 0.0000 0.0000
Cl1 Cl 0.0000 0.0000 0.2254
```

=====

(3)
Structure and computed powder X-ray diffraction pattern of CsTiCl3 (a crystal structure in the Materials Project, relaxed with PBE; Cu Kα X-rays).
Intensities are scaled so that the largest is 100.

Main lines, by angle (10° ≤ 2θ ≤ 90°):
| 2theta | I/Imax | h k l |
| --- | --- | --- |
| 20.61 | 47 | 1 0 1 |
| 23.24 | 51 | 1 1 0 |
| 31.25 | 100 | 2 0 1 |
| 41.92 | 28 | 2 0 2 |
| 47.50 | 27 | 2 2 0 |
| 55.99 | 17 | 2 0 3 |

Structure:
```
data_CsTiCl3
_chemical_formula_sum 'Cs2 Ti2 Cl6'
_symmetry_space_group_name_H-M 'P 63/m m c'
_symmetry_Int_Tables_number 194
_symmetry_space_group_name_Hall '-P 6c 2c'
_cell_length_a 7.6564
_cell_length_b 7.6564
_cell_length_c 5.6721
_cell_angle_alpha 90.00
_cell_angle_beta 90.00
_cell_angle_gamma 120.00
loop_
_atom_site_label
_atom_site_type_symbol
_atom_site_fract_x
_atom_site_fract_y
_atom_site_fract_z
Cs1 Cs 0.3333 0.6667 0.2500
Ti1 Ti 0.0000 0.0000 0.0000
Cl1 Cl 0.1574 0.3148 0.7500
```

=====

(4)
Structure and computed powder X-ray diffraction pattern of CsTlCl3 (a crystal structure in the Materials Project, relaxed with PBE; Cu Kα X-rays).
Intensities are scaled so that the largest is 100.

Main lines, by angle (10° ≤ 2θ ≤ 90°):
| 2theta | I/Imax | h k l |
| --- | --- | --- |
| 22.16 | 100 | 2 2 0 |
| 31.54 | 46 | 4 0 0 |
| 38.89 | 47 | 4 2 2 |
| 45.21 | 32 | 4 4 0 |
| 50.90 | 23 | 6 2 0 |
| 61.13 | 27 | 6 4 2 |

Structure:
```
data_CsTlCl3
_chemical_formula_sum 'Cs8 Tl8 Cl24'
_symmetry_space_group_name_H-M 'F m -3 m'
_symmetry_Int_Tables_number 225
_symmetry_space_group_name_Hall '-F 4 2 3'
_cell_length_a 11.3456
_cell_length_b 11.3456
_cell_length_c 11.3456
_cell_angle_alpha 90.00
_cell_angle_beta 90.00
_cell_angle_gamma 90.00
loop_
_atom_site_label
_atom_site_type_symbol
_atom_site_fract_x
_atom_site_fract_y
_atom_site_fract_z
Cs1 Cs 0.2500 0.2500 0.2500
Tl1 Tl 0.0000 0.0000 0.0000
Tl2 Tl 0.0000 0.0000 0.5000
Cl1 Cl 0.0000 0.0000 0.2327
```

=====

(5)
Structure and computed powder X-ray diffraction pattern of Cs3Tl2Cl9 (a crystal structure in the Materials Project, relaxed with PBE; Cu Kα X-rays).
Intensities are scaled so that the largest is 100.

Main lines, by angle (10° ≤ 2θ ≤ 90°):
| 2theta | I/Imax | h k l |
| --- | --- | --- |
| 13.37 | 53 | 1 1 0 |
| 19.43 | 39 | 1 1 3 |
| 23.26 | 100 | 3 0 0 |
| 30.48 | 85 | 2 2 3 |
| 31.40 | 42 | 1 1 6 |
| 39.44 | 48 | 2 2 6 |

Structure:
```
data_Cs3Tl2Cl9
_chemical_formula_sum 'Cs18 Tl12 Cl54'
_symmetry_space_group_name_H-M 'R -3 c'
_symmetry_Int_Tables_number 167
_symmetry_space_group_name_Hall '-R 3 2"c'
_cell_length_a 13.2492
_cell_length_b 13.2492
_cell_length_c 18.9345
_cell_angle_alpha 90.00
_cell_angle_beta 90.00
_cell_angle_gamma 120.00
loop_
_atom_site_label
_atom_site_type_symbol
_atom_site_fract_x
_atom_site_fract_y
_atom_site_fract_z
Cs1 Cs 0.0000 0.3343 0.2500
Tl1 Tl 0.0000 0.0000 0.1492
Cl1 Cl 0.0000 0.1528 0.7500
Cl2 Cl 0.9997 0.1715 0.0892
```

=====

(6)
Structure and computed powder X-ray diffraction pattern of Cs2TlCl5 (a crystal structure in the Materials Project, relaxed with PBE; Cu Kα X-rays).
Intensities are scaled so that the largest is 100.

Main lines, by angle (10° ≤ 2θ ≤ 90°):
| 2theta | I/Imax | h k l |
| --- | --- | --- |
| 20.96 | 100 | 0 1 3 |
| 21.84 | 73 | 2 0 2 |
| 23.26 | 63 | 0 2 0 |
| 32.12 | 61 | 2 2 2 |
| 34.78 | 48 | 2 2 3 |
| 48.16 | 47 | 4 2 3 |

Structure:
```
data_Cs2TlCl5
_chemical_formula_sum 'Cs8 Tl4 Cl20'
_symmetry_space_group_name_H-M 'P n m a'
_symmetry_Int_Tables_number 62
_symmetry_space_group_name_Hall '-P 2ac 2n'
_cell_length_a 9.6139
_cell_length_b 7.6480
_cell_length_c 15.2784
_cell_angle_alpha 90.00
_cell_angle_beta 90.00
_cell_angle_gamma 90.00
loop_
_atom_site_label
_atom_site_type_symbol
_atom_site_fract_x
_atom_site_fract_y
_atom_site_fract_z
Cs1 Cs 0.0310 0.2500 0.2023
Cs2 Cs 0.1768 0.7500 0.4218
Tl1 Tl 0.1881 0.7500 0.0703
Cl1 Cl 0.0000 0.0000 0.0000
Cl2 Cl 0.0267 0.7500 0.2015
Cl3 Cl 0.1582 0.5055 0.6242
Cl4 Cl 0.2037 0.2500 0.4159
```

=====

(7)
Structure and computed powder X-ray diffraction pattern of CsTlCl3 (a crystal structure in the Materials Project, relaxed with PBE; Cu Kα X-rays).
Intensities are scaled so that the largest is 100.

Main lines, by angle (10° ≤ 2θ ≤ 90°):
| 2theta | I/Imax | h k l |
| --- | --- | --- |
| 22.53 | 100 | 1 1 0 |
| 32.08 | 47 | 2 0 0 |
| 39.56 | 48 | 2 1 1 |
| 46.01 | 33 | 2 2 0 |
| 51.81 | 22 | 3 1 0 |
| 62.25 | 26 | 3 1 2 |

Structure:
```
data_CsTlCl3
_chemical_formula_sum 'Cs1 Tl1 Cl3'
_symmetry_space_group_name_H-M 'P 1'
_symmetry_Int_Tables_number 1
_symmetry_space_group_name_Hall 'P 1'
_cell_length_a 5.5798
_cell_length_b 5.5800
_cell_length_c 5.5801
_cell_angle_alpha 89.99
_cell_angle_beta 90.00
_cell_angle_gamma 89.98
loop_
_atom_site_label
_atom_site_type_symbol
_atom_site_fract_x
_atom_site_fract_y
_atom_site_fract_z
Cs1 Cs 0.0000 0.0000 0.0000
Tl1 Tl 0.4992 0.5078 0.5010
Cl1 Cl 0.4958 0.0081 0.4953
Cl2 Cl 0.5007 0.5070 0.0006
Cl3 Cl 0.9990 0.5096 0.5036
```

=====

(8)
Structure and computed powder X-ray diffraction pattern of CsTlCl3 (a crystal structure in the Materials Project, relaxed with PBE; Cu Kα X-rays).
Intensities are scaled so that the largest is 100.

Main lines, by angle (10° ≤ 2θ ≤ 90°):
| 2theta | I/Imax | h k l |
| --- | --- | --- |
| 22.53 | 100 | 2 0 0 |
| 32.08 | 47 | 2 2 0 |
| 39.56 | 48 | 3 1 1 |
| 46.01 | 33 | 4 0 0 |
| 51.81 | 22 | 4 2 0 |
| 62.25 | 26 | 5 1 1 |

Structure:
```
data_CsTlCl3
_chemical_formula_sum 'Cs2 Tl2 Cl6'
_symmetry_space_group_name_H-M 'C 1 m 1'
_symmetry_Int_Tables_number 8
_symmetry_space_group_name_Hall 'C -2y'
_cell_length_a 7.8914
_cell_length_b 7.8911
_cell_length_c 5.5800
_cell_angle_alpha 90.00
_cell_angle_beta 90.02
_cell_angle_gamma 90.00
loop_
_atom_site_label
_atom_site_type_symbol
_atom_site_fract_x
_atom_site_fract_y
_atom_site_fract_z
Cs1 Cs 0.0000 0.0000 0.0000
Tl1 Tl 0.9999 0.5000 0.5078
Cl1 Cl 0.0044 0.5000 0.0081
Cl2 Cl 0.2487 0.2477 0.5096
```

=====

(9)
Structure and computed powder X-ray diffraction pattern of Cs2TmCl4 (a crystal structure in the Materials Project, relaxed with PBE; Cu Kα X-rays).
Intensities are scaled so that the largest is 100.

Main lines, by angle (10° ≤ 2θ ≤ 90°):
| 2theta | I/Imax | h k l |
| --- | --- | --- |
| 10.15 | 36 | 0 0 2 |
| 22.66 | 100 | 1 0 3 |
| 23.65 | 77 | 1 1 0 |
| 33.69 | 55 | 2 0 0 |
| 40.99 | 44 | 2 1 3 |
| 46.25 | 45 | 2 0 6 |

Structure:
```
data_Cs2TmCl4
_chemical_formula_sum 'Cs4 Tm2 Cl8'
_symmetry_space_group_name_H-M 'I 4/m m m'
_symmetry_Int_Tables_number 139
_symmetry_space_group_name_Hall '-I 4 2'
_cell_length_a 5.3206
_cell_length_b 5.3206
_cell_length_c 17.4274
_cell_angle_alpha 90.00
_cell_angle_beta 90.00
_cell_angle_gamma 90.00
loop_
_atom_site_label
_atom_site_type_symbol
_atom_site_fract_x
_atom_site_fract_y
_atom_site_fract_z
Cs1 Cs 0.0000 0.0000 0.1426
Tm1 Tm 0.0000 0.0000 0.5000
Cl1 Cl 0.0000 0.0000 0.3455
Cl2 Cl 0.0000 0.5000 0.0000
```

=====

(10)
Structure and computed powder X-ray diffraction pattern of CsTm2Cl7 (a crystal structure in the Materials Project, relaxed with PBE; Cu Kα X-rays).
Intensities are scaled so that the largest is 100.

Main lines, by angle (10° ≤ 2θ ≤ 90°):
| 2theta | I/Imax | h k l |
| --- | --- | --- |
| 12.76 | 61 | 2 0 0 |
| 19.38 | 100 | 2 1 1 |
| 25.60 | 62 | 1 1 3 |
| 34.50 | 28 | 3 0 4 |
| 36.55 | 32 | 4 2 0 |
| 41.11 | 33 | 5 1 3 |

Structure:
```
data_CsTm2Cl7
_chemical_formula_sum 'Cs4 Tm8 Cl28'
_symmetry_space_group_name_H-M 'P n m a'
_symmetry_Int_Tables_number 62
_symmetry_space_group_name_Hall '-P 2ac 2n'
_cell_length_a 13.8712
_cell_length_b 6.9732
_cell_length_c 12.5739
_cell_angle_alpha 90.00
_cell_angle_beta 90.00
_cell_angle_gamma 90.00
loop_
_atom_site_label
_atom_site_type_symbol
_atom_site_fract_x
_atom_site_fract_y
_atom_site_fract_z
Cs1 Cs 0.0421 0.2500 0.1960
Tm1 Tm 0.2388 0.2500 0.5406
Tm2 Tm 0.2493 0.7500 0.3434
Cl1 Cl 0.1141 0.7500 0.1892
Cl2 Cl 0.1281 0.0086 0.4258
Cl3 Cl 0.1386 0.0096 0.9596
Cl4 Cl 0.1788 0.0143 0.6937
```

=====

(11)
Structure and computed powder X-ray diffraction pattern of Cs2TmCl5 (a crystal structure in the Materials Project, relaxed with PBE; Cu Kα X-rays).
Intensities are scaled so that the largest is 100.

Main lines, by angle (10° ≤ 2θ ≤ 90°):
| 2theta | I/Imax | h k l |
| --- | --- | --- |
| 20.90 | 100 | 0 1 3 |
| 21.55 | 43 | 2 0 2 |
| 23.53 | 54 | 0 2 0 |
| 24.59 | 38 | 2 1 2 |
| 30.43 | 59 | 1 0 5 |
| 32.11 | 54 | 2 2 2 |

Structure:
```
data_Cs2TmCl5
_chemical_formula_sum 'Cs8 Tm4 Cl20'
_symmetry_space_group_name_H-M 'P n m a'
_symmetry_Int_Tables_number 62
_symmetry_space_group_name_Hall '-P 2ac 2n'
_cell_length_a 9.7626
_cell_length_b 7.5625
_cell_length_c 15.4198
_cell_angle_alpha 90.00
_cell_angle_beta 90.00
_cell_angle_gamma 90.00
loop_
_atom_site_label
_atom_site_type_symbol
_atom_site_fract_x
_atom_site_fract_y
_atom_site_fract_z
Cs1 Cs 0.0247 0.2500 0.2119
Cs2 Cs 0.1642 0.7500 0.4171
Tm1 Tm 0.1748 0.7500 0.0637
Cl1 Cl 0.0000 0.0000 0.0000
Cl2 Cl 0.0218 0.7500 0.1985
Cl3 Cl 0.1710 0.0005 0.6168
Cl4 Cl 0.2154 0.2500 0.4094
```